AgF: theoretical powder diffraction line list (Cu Kα (λ = 1.5418 Å)), based on a DFT-relaxed cell (GGA-PBE, the Materials Project).
Peak positions follow from Bragg's law for the DFT cell and can differ from measured ones.

Cell and atoms:
Lattice parameters (Å, degrees): 5.029 5.029 5.029 90.00 90.00 90.00
Space group Fm-3m (No. 225)
One atom of each set of equivalent atoms:
Ag1 0.000 0.000 0.000 (multiplicity 4)
F1 0.000 0.000 0.500 (multiplicity 4)

Largest 8 diffraction maxima, in order of falling intensity, 10° ≤ 2θ ≤ 90°:
2θ/deg	I/Imax	hkl
35.71	100	2 0 0
30.79	97	1 1 1
51.39	66	2 2 0
61.11	41	3 1 1
86.55	27	4 2 0
64.15	21	2 2 2
83.85	17	3 3 1
75.63	10	4 0 0

Ag2F: theoretical powder diffraction line list (Cu Kα (λ = 1.5418 Å)), based on a DFT-relaxed cell (GGA-PBE, the Materials Project).
Peak positions follow from Bragg's law for the DFT cell and can differ from measured ones.

Cell and atoms:
Lattice parameters (Å, degrees): 3.0573 3.0573 5.7949 90.00 90.00 120.00
Space group P-3m1 (No. 164)
One atom of each set of equivalent atoms:
Ag1 0.3333 0.6667 0.3074 (multiplicity 2)
F1 0.0000 0.0000 0.0000 (multiplicity 1)

Largest 10 diffraction maxima, in order of falling intensity, 10° ≤ 2θ ≤ 90°:
2θ/deg	I/Imax	hkl
37.34	100	0 1 1
46.46	39	1 0 2
60.57	18	1 1 0
30.86	17	0 0 2
33.86	15	1 0 0
15.29	14	0 0 1
73.36	12	2 0 1
80.05	12	1 1 3
74.69	12	0 1 4
47.04	11	0 0 3

RbGaAgF6: theoretical powder diffraction line list (Cu Kα (λ = 1.5418 Å)), based on a DFT-relaxed cell (GGA-PBE, the Materials Project).
Peak positions follow from Bragg's law for the DFT cell and can differ from measured ones.

Cell and atoms:
Lattice parameters (Å, degrees): 7.259 7.664 10.601 90.00 90.00 90.00
Space group Pnma (No. 62)
One atom of each set of equivalent atoms:
Rb1 0.016 0.250 0.134 (multiplicity 4)
Ga1 0.000 0.000 0.500 (multiplicity 4)
Ag1 0.212 0.250 0.752 (multiplicity 4)
F1 0.040 0.750 0.151 (multiplicity 4)
F2 0.052 0.250 0.495 (multiplicity 4)
F3 0.141 0.517 0.653 (multiplicity 8)
F4 0.218 0.535 0.406 (multiplicity 8)

Largest 10 diffraction maxima, in order of falling intensity, 10° ≤ 2θ ≤ 90°:
2θ/deg	I/Imax	hkl
28.48	100	2 1 1
27.63	96	1 2 1
48.73	74	2 2 4
28.75	69	0 2 2
28.09	54	1 0 3
27.80	52	0 1 3
29.84	50	2 0 2
14.26	47	0 1 1
47.45	34	0 4 0
23.81	27	1 1 2

Ag2H2IOF: theoretical powder diffraction line list (Cu Kα (λ = 1.5418 Å)), based on a DFT-relaxed cell (GGA-PBE, the Materials Project).
Peak positions follow from Bragg's law for the DFT cell and can differ from measured ones.

Cell and atoms:
Lattice parameters (Å, degrees): 4.861 7.907 6.505 90.00 91.19 90.00
Space group P2_1 (No. 4)
One atom of each set of equivalent atoms:
Ag1 0.002 0.000 0.278 (multiplicity 2)
Ag2 0.022 0.538 0.294 (multiplicity 2)
H1 0.292 0.805 0.988 (multiplicity 2)
H2 0.443 0.992 0.991 (multiplicity 2)
I1 0.317 0.264 0.495 (multiplicity 2)
O1 0.260 0.930 0.989 (multiplicity 2)
F1 0.291 0.605 0.003 (multiplicity 2)

Largest 10 diffraction maxima, in order of falling intensity, 10° ≤ 2θ ≤ 90°:
2θ/deg	I/Imax	hkl
29.12	100	1 2 0
35.75	76	0 2 2
13.62	75	0 0 1
18.26	59	1 0 0
25.71	52	1 1 1
32.82	40	1 0 -2
46.20	39	2 0 -2
43.73	37	2 2 0
33.47	29	1 0 2
47.85	26	0 2 3